(1)
Simulated powder diffraction line list
Compound: CeAlSi6Pt2
Radiation: Cu Kα, 1.54184 Å
Structure: a structure optimized by DFT (PBE)
Intensities are scaled so that the largest is 100.

Cell and atoms:
abc: 10.2853 10.2853 10.2853
angles: 27.51 27.51 27.51
Sites, in units of the cell vectors:
Ce (0.0000, 0.0000, 0.0000)
Al (0.5000, 0.5000, 0.5000)
Si (0.1932, 0.3271, 0.7706)
Si (0.2294, 0.8068, 0.6729)
Si (0.3271, 0.7706, 0.1932)
Si (0.6729, 0.2294, 0.8068)
Si (0.7706, 0.1932, 0.3271)
Si (0.8068, 0.6729, 0.2294)
Pt (0.2753, 0.2753, 0.2753)
Pt (0.7247, 0.7247, 0.7247)

Top 10 peaks for 2θ from 10° to 90°, by angle:
3.678 Å, I 100; 2.996 Å, I 75; 2.445 Å, I 44; 2.374 Å, I 35; 2.275 Å, I 43; 2.036 Å, I 39; 1.964 Å, I 20; 1.895 Å, I 28; 1.565 Å, I 19; 1.498 Å, I 25

***

(2)
Simulated powder diffraction line list
Compound: Pm3DyZr2N6
Radiation: Cu Kα, 1.54184 Å
Structure: a structure optimized by DFT (PBE)
Intensities are scaled so that the largest is 100.

Cell and atoms:
abc: 5.9589 5.9589 6.0316
angles: 99.47 99.47 119.99
Sites, in units of the cell vectors:
Pm (0.0000, 0.0000, 0.0000)
Pm (0.3337, 0.6663, 0.0000)
Pm (0.6663, 0.3337, 0.0000)
Dy (0.5000, 0.5000, 0.5000)
Zr (0.1663, 0.8337, 0.5000)
Zr (0.8337, 0.1663, 0.5000)
N (0.0799, 0.4244, 0.2740)
N (0.2292, 0.2292, 0.7231)
N (0.4244, 0.0799, 0.2740)
N (0.5756, 0.9201, 0.7260)
N (0.7708, 0.7708, 0.2769)
N (0.9201, 0.5756, 0.7260)

Top 10 peaks for 2θ from 10° to 90°, by angle:
2.848 Å, I 35; 2.813 Å, I 98; 2.444 Å, I 100; 1.736 Å, I 34; 1.720 Å, I 33; 1.472 Å, I 29; 1.468 Å, I 14; 1.407 Å, I 17; 1.117 Å, I 12; 1.097 Å, I 15

***

(3)
Simulated powder diffraction line list
Compound: NdSc2GeN4
Radiation: Cu Kα, 1.54184 Å
Structure: a structure optimized by DFT (PBE)
Intensities are scaled so that the largest is 100.

Cell and atoms:
abc: 5.8183 5.8183 11.1053
angles: 90.00 90.00 146.54
Sites, in units of the cell vectors:
Nd (0.0979, 0.9021, 0.7500)
Nd (0.9021, 0.0979, 0.2500)
Sc (0.3705, 0.6295, 0.5382)
Sc (0.3705, 0.6295, 0.9618)
Sc (0.6295, 0.3705, 0.0382)
Sc (0.6295, 0.3705, 0.4618)
Ge (0.1641, 0.8359, 0.2500)
Ge (0.8359, 0.1641, 0.7500)
N (0.0000, 0.0000, 0.0000)
N (0.0000, 0.0000, 0.5000)
N (0.2658, 0.7342, 0.1188)
N (0.2658, 0.7342, 0.3812)
N (0.4225, 0.5775, 0.7500)
N (0.5775, 0.4225, 0.2500)
N (0.7342, 0.2658, 0.6188)
N (0.7342, 0.2658, 0.8812)

Top 10 peaks for 2θ from 10° to 90°, by angle:
5.553 Å, I 54; 3.083 Å, I 20; 2.780 Å, I 100; 2.776 Å, I 41; 2.702 Å, I 19; 2.428 Å, I 49; 2.270 Å, I 45; 1.967 Å, I 19; 1.760 Å, I 16; 1.435 Å, I 17

***

(4)
Simulated powder diffraction line list
Compound: Ho2ZrBi2N2
Radiation: Cu Kα, 1.54184 Å
Structure: a structure optimized by DFT (PBE)
Intensities are scaled so that the largest is 100.

Cell and atoms:
abc: 8.7829 8.7829 8.7829
angles: 151.99 151.99 40.03
Sites, in units of the cell vectors:
Ho (0.0945, 0.0945, 0.0000)
Ho (0.9055, 0.9055, 0.0000)
Zr (0.5000, 0.5000, 0.0000)
Bi (0.3084, 0.3084, 0.0000)
Bi (0.6916, 0.6916, 0.0000)
N (0.0000, 0.5000, 0.5000)
N (0.5000, 0.0000, 0.5000)

Top 10 peaks for 2θ from 10° to 90°, by angle:
3.364 Å, I 12; 3.006 Å, I 71; 2.607 Å, I 100; 2.125 Å, I 31; 1.647 Å, I 51; 1.447 Å, I 14; 1.344 Å, I 13; 1.304 Å, I 11; 1.302 Å, I 12; 1.111 Å, I 22

***

(5)
Simulated powder diffraction line list
Compound: Tl2BiPbAu2
Radiation: Cu Kα, 1.54184 Å
Structure: a structure optimized by DFT (PBE)
Intensities are scaled so that the largest is 100.

Cell and atoms:
abc: 4.4417 9.3532 7.7813
angles: 90.00 90.00 90.00
Sites, in units of the cell vectors:
Tl (0.0000, 0.0839, 0.0000)
Tl (0.0000, 0.9161, 0.5000)
Tl (0.5000, 0.1726, 0.3242)
Tl (0.5000, 0.8274, 0.8242)
Bi (0.5000, 0.4218, 0.9525)
Bi (0.5000, 0.5782, 0.4525)
Pb (0.0000, 0.3251, 0.6096)
Pb (0.0000, 0.6749, 0.1096)
Au (0.0000, 0.3710, 0.2203)
Au (0.0000, 0.6290, 0.7203)
Au (0.5000, 0.1351, 0.7291)
Au (0.5000, 0.8649, 0.2291)

Top 10 peaks for 2θ from 10° to 90°, by angle:
2.976 Å, I 81; 2.927 Å, I 39; 2.894 Å, I 26; 2.793 Å, I 100; 2.552 Å, I 50; 2.499 Å, I 20; 2.268 Å, I 32; 2.221 Å, I 46; 1.617 Å, I 21; 1.587 Å, I 21

***

(6)
Simulated powder diffraction line list
Compound: U3O8
Radiation: Cu Kα, 1.54184 Å
Structure: a structure optimized by DFT (PBE)
Intensities are scaled so that the largest is 100.

Cell and atoms:
abc: 6.7795 6.7795 8.3386
angles: 90.00 90.00 116.96
Sites, in units of the cell vectors:
U (0.0117, 0.9883, 0.7500)
U (0.3336, 0.6664, 0.7500)
U (0.3479, 0.6521, 0.2500)
U (0.6521, 0.3479, 0.7500)
U (0.6664, 0.3336, 0.2500)
U (0.9883, 0.0117, 0.2500)
O (0.0000, 0.0000, 0.0000)
O (0.0000, 0.0000, 0.5000)
O (0.0076, 0.6300, 0.7500)
O (0.1657, 0.8343, 0.2500)
O (0.2941, 0.3383, 0.7500)
O (0.3383, 0.2941, 0.2500)
O (0.3443, 0.6557, 0.0123)
O (0.3443, 0.6557, 0.4877)
O (0.3700, 0.9924, 0.7500)
O (0.6300, 0.0076, 0.2500)
O (0.6557, 0.3443, 0.5123)
O (0.6557, 0.3443, 0.9877)
O (0.6617, 0.7059, 0.7500)
O (0.7059, 0.6617, 0.2500)
O (0.8343, 0.1657, 0.7500)
O (0.9924, 0.3700, 0.2500)

Top 10 peaks for 2θ from 10° to 90°, by angle:
4.169 Å, I 94; 3.544 Å, I 61; 3.385 Å, I 100; 2.700 Å, I 44; 2.628 Å, I 75; 2.085 Å, I 19; 2.014 Å, I 30; 1.814 Å, I 34; 1.774 Å, I 43; 1.449 Å, I 21